[1]
Theoretical powder XRD pattern of Li3InSb for Cu Kα (λ = 1.5418 Å), from a crystal structure in Alexandria, relaxed with GGA-PBE.
Neutral-atom scattering factors, no anomalous dispersion.

The 10 most intense peaks (5° ≤ 2θ ≤ 70°), in order of rising 2θ:
19.13°, d = 4.640 Å, rel. 100.0
23.39°, d = 3.804 Å, rel. 12.0
30.48°, d = 2.933 Å, rel. 67.9
32.64°, d = 2.743 Å, rel. 25.7
36.11°, d = 2.487 Å, rel. 18.6
36.24°, d = 2.479 Å, rel. 25.2
38.77°, d = 2.323 Å, rel. 24.1
47.39°, d = 1.918 Å, rel. 24.8
48.06°, d = 1.893 Å, rel. 17.6
54.17°, d = 1.693 Å, rel. 13.0

Cell and atoms:
```
10
Lattice="2.9326 1.6931 7.6078 -2.9326 1.6931 7.6078 0.0000 -3.3863 7.6078" Properties=species:S:1:pos:R:3 pbc="T T T"
Li -1.4546 -0.8398 12.8257
Li 0.0000 -1.6797 9.9978
Li -1.4546 0.8398 9.9978
Li 1.4546 -0.8398 12.8257
Li 0.0000 1.6796 12.8257
Li 1.4546 0.8398 9.9978
In 0.0000 0.0000 7.5425
In 0.0000 0.0000 15.2810
Sb 0.0000 0.0000 4.6750
Sb 0.0000 0.0000 18.1485
```



[2]
Theoretical powder XRD pattern of Li3ScIn4 for Cu Kα (λ = 1.5418 Å), from a crystal structure in Alexandria, relaxed with GGA-PBE.
Neutral-atom scattering factors, no anomalous dispersion.

The 10 most intense peaks (5° ≤ 2θ ≤ 70°), in order of rising 2θ:
25.84°, d = 3.447 Å, rel. 100.0
36.69°, d = 2.449 Å, rel. 65.8
37.05°, d = 2.426 Å, rel. 65.7
45.73°, d = 1.984 Å, rel. 21.2
53.13°, d = 1.724 Å, rel. 21.9
59.75°, d = 1.548 Å, rel. 17.5
60.26°, d = 1.536 Å, rel. 18.2
65.83°, d = 1.419 Å, rel. 10.3
66.55°, d = 1.405 Å, rel. 21.6
66.78°, d = 1.401 Å, rel. 11.0

Cell and atoms:
```
8
Lattice="2.4261 1.4007 8.0386 -2.4261 1.4007 8.0386 0.0000 -2.8015 8.0386" Properties=species:S:1:pos:R:3 pbc="T T T"
Li 0.0000 0.0000 0.0000
Li 0.0000 0.0000 5.9993
Li 0.0000 0.0000 18.1165
Sc 0.0000 0.0000 12.0579
In 0.0000 0.0000 2.9121
In 0.0000 0.0000 8.9912
In 0.0000 0.0000 15.1246
In 0.0000 0.0000 21.2037
```